This entry pairs a crystal structure of Mg7Zr with its computed PXRD pattern. Radiation: Cu Kα X-rays. Structure: the GGA-PBE geometry in Alexandria.
Neutral-atom scattering factors, no anomalous dispersion.

The 12 most intense peaks (2θ = 5–70°), most intense first:
2θ/deg	Rel. int.
36.79	100
15.87	35
32.05	28
35.59	24
23.77	24
57.14	19
69.15	19
64.70	18
48.64	17
69.90	14
32.97	11
46.64	9

Structure:
Cell lengths 6.4492, 6.4492, 5.0454 Å; angles 90.00, 90.00, 120.00 degrees
Fractional coordinates of all 8 atoms:
Mg  0.0000  0.0000  0.0000
Mg  0.0079  0.5040  0.0000
Mg  0.3384  0.1692  0.5000
Mg  0.4960  0.5040  0.0000
Mg  0.4960  0.9921  0.0000
Mg  0.8308  0.1692  0.5000
Mg  0.8308  0.6616  0.5000
Zr  0.3333  0.6667  0.5000